This entry pairs a crystal structure of AgPXe2F10 with its calculated XRD peak list. Radiation: Cu Kα X-rays. Structure: a structure optimized by DFT (PBE).
Neutral-atom scattering factors, no anomalous dispersion.

Structural model:
```
AgPXe2F10
1.0
-4.051 4.051 6.221
4.051 -4.051 6.221
4.051 4.051 -6.221
Ag P Xe F
2 2 4 20
direct
0.250 0.250 0.000
0.750 0.750 0.000
0.250 0.750 0.500
0.750 0.250 0.500
0.248 0.748 0.996
0.252 0.248 0.500
0.748 0.752 0.500
0.752 0.252 0.004
0.000 0.221 0.006
0.006 0.000 0.220
0.069 0.661 0.230
0.119 0.619 0.500
0.161 0.931 0.592
0.215 0.994 0.994
0.279 0.500 0.994
0.339 0.569 0.408
0.381 0.881 0.500
0.431 0.839 0.770
0.500 0.494 0.780
0.506 0.285 0.006
0.569 0.339 0.408
0.619 0.119 0.500
0.661 0.069 0.230
0.715 0.721 0.220
0.779 0.785 0.780
0.839 0.431 0.770
0.881 0.381 0.500
0.931 0.161 0.592
```

Main lines, low angle first (2θ from 10° to 90°):
2θ (°), I (rel.)
26.25, 100
28.70, 18
31.22, 38
42.92, 20
44.74, 9
45.89, 9
49.37, 19
52.61, 32
54.02, 14
68.81, 14

***

This entry pairs a crystal structure of Nd2Sc2CIBr2Cl2 with its calculated XRD peak list. Radiation: Cu Kα X-rays. Structure: a structure optimized by DFT (PBE).
Neutral-atom scattering factors, no anomalous dispersion.

Structural model:
```
Nd2Sc2CIBr2Cl2
1.0
8.659 -1.895 0.000
8.659 1.895 0.000
-2.235 0.000 7.827
Nd Sc C I Br Cl
2 2 1 1 2 2
direct
0.148 0.148 0.083
0.852 0.852 0.917
0.499 0.499 0.816
0.501 0.501 0.184
0.000 0.000 0.000
0.000 0.000 0.500
0.337 0.337 0.637
0.663 0.663 0.363
0.341 0.341 0.169
0.659 0.659 0.831
```

Main lines, low angle first (2θ from 10° to 90°):
2θ (°), I (rel.)
17.55, 28
21.26, 32
29.03, 30
32.28, 100
32.41, 35
35.23, 12
38.91, 14
45.59, 18
46.97, 21
48.00, 12

***

What is the formula in the first record? AgPXe2F10